Entry 1:
Calculated powder XRD pattern
Compound: Tl4H12Br
Radiation: Cu Kα X-rays
Structure: the GGA-PBE geometry in Alexandria

Top 6 peaks for 2θ = 5–70°, by angle:
d [Å]  Rel. int.
4.199  75
2.969  100
2.425  26
2.100  19
1.878  36
1.714  40

```
Tl4H12Br
1.0
-4.199 4.199 4.199
4.199 -4.199 4.199
4.199 4.199 -4.199
Tl H Br
4 12 1
direct
0.000 0.000 0.500 Tl
0.000 0.500 0.000 Tl
0.500 0.000 0.000 Tl
0.500 0.500 0.500 Tl
0.153 0.454 0.607 H
0.153 0.546 0.700 H
0.300 0.847 0.454 H
0.393 0.847 0.546 H
0.454 0.300 0.847 H
0.454 0.607 0.153 H
0.546 0.393 0.847 H
0.546 0.700 0.153 H
0.607 0.153 0.454 H
0.700 0.153 0.546 H
0.847 0.454 0.300 H
0.847 0.546 0.393 H
0.000 0.000 0.000 Br
```


Entry 2:
Calculated powder XRD pattern
Compound: Tl3H2Br3
Radiation: Cu Kα X-rays
Structure: the GGA-PBE geometry in Alexandria

Top 6 peaks for 2θ = 5–70°, by angle:
d [Å]  Rel. int.
4.315  79
3.940  50
3.091  100
3.013  89
2.439  51
2.158  70

```
Tl3H2Br3
1.0
3.940 0.000 0.000
0.027 6.183 0.000
0.069 3.088 9.038
Tl H Br
3 2 3
direct
0.000 0.000 0.000 Tl
0.487 0.332 0.337 Tl
0.513 0.668 0.663 Tl
0.013 0.672 0.656 H
0.987 0.328 0.344 H
0.496 0.846 0.308 Br
0.500 0.500 0.000 Br
0.504 0.154 0.692 Br
```


Entry 3:
Calculated powder XRD pattern
Compound: TmH2Br3
Radiation: Cu Kα X-rays
Structure: the GGA-PBE geometry in Alexandria

Top 6 peaks for 2θ = 5–70°, by angle:
d [Å]  Rel. int.
6.997  100
3.143  25
2.680  22
2.503  25
2.127  12
2.020  12

```
TmH2Br3
1.0
8.079 0.000 0.000
-4.039 6.997 0.000
0.000 0.000 7.163
Tm H Br
2 4 6
direct
0.000 0.000 0.000 Tm
0.000 0.000 0.500 Tm
0.333 0.667 0.039 H
0.333 0.667 0.461 H
0.667 0.333 0.539 H
0.667 0.333 0.961 H
0.153 0.306 0.750 Br
0.153 0.847 0.750 Br
0.306 0.153 0.250 Br
0.694 0.847 0.750 Br
0.847 0.153 0.250 Br
0.847 0.694 0.250 Br
```


Entry 4:
Calculated powder XRD pattern
Compound: UH2Br3
Radiation: Cu Kα X-rays
Structure: the GGA-PBE geometry in Alexandria

Top 6 peaks for 2θ = 5–70°, by angle:
d [Å]  Rel. int.
7.085  100
3.162  19
2.678  16
2.663  25
2.493  26
2.045  13

```
UH2Br3
1.0
8.182 0.000 0.000
-4.091 7.085 0.000
0.000 0.000 7.015
U H Br
2 4 6
direct
0.000 0.000 0.000 U
0.000 0.000 0.500 U
0.333 0.667 0.037 H
0.333 0.667 0.463 H
0.667 0.333 0.537 H
0.667 0.333 0.963 H
0.162 0.324 0.750 Br
0.162 0.838 0.750 Br
0.324 0.162 0.250 Br
0.676 0.838 0.750 Br
0.838 0.162 0.250 Br
0.838 0.676 0.250 Br
```


Entry 5:
Calculated powder XRD pattern
Compound: ZrHBr3
Radiation: Cu Kα X-rays
Structure: the GGA-PBE geometry in Alexandria

Top 6 peaks for 2θ = 5–70°, by angle:
d [Å]  Rel. int.
7.255  100
3.941  27
3.472  29
3.418  26
2.250  21
1.789  24

```
ZrHBr3
1.0
-4.197 7.236 3.418
4.197 -7.236 3.418
4.197 7.236 -3.418
Zr H Br
2 2 6
direct
0.209 0.250 0.459 Zr
0.791 0.750 0.541 Zr
0.090 0.041 0.549 H
0.493 0.541 0.451 H
0.210 0.053 0.121 Br
0.210 0.589 0.657 Br
0.523 0.393 0.630 Br
0.763 0.893 0.370 Br
0.932 0.089 0.879 Br
0.932 0.553 0.343 Br
```


Entry 6:
Calculated powder XRD pattern
Compound: HfBr4
Radiation: Cu Kα X-rays
Structure: the GGA-PBE geometry in Alexandria

Top 6 peaks for 2θ = 5–70°, by angle:
d [Å]  Rel. int.
5.567  92
5.082  83
3.594  100
3.327  21
2.201  83
1.877  37

```
HfBr4
1.0
12.449 0.000 0.000
0.000 12.449 0.000
0.000 0.000 12.449
Hf Br
8 32
direct
0.132 0.132 0.132 Hf
0.132 0.368 0.632 Hf
0.368 0.632 0.132 Hf
0.368 0.868 0.632 Hf
0.632 0.132 0.368 Hf
0.632 0.368 0.868 Hf
0.868 0.632 0.368 Hf
0.868 0.868 0.868 Hf
0.013 0.246 0.023 Br
0.013 0.254 0.523 Br
0.023 0.013 0.246 Br
0.023 0.487 0.746 Br
0.246 0.023 0.013 Br
0.246 0.246 0.246 Br
0.246 0.254 0.746 Br
0.246 0.477 0.513 Br
0.254 0.523 0.013 Br
0.254 0.746 0.246 Br
0.254 0.754 0.746 Br
0.254 0.977 0.513 Br
0.477 0.513 0.246 Br
0.477 0.987 0.746 Br
0.487 0.746 0.023 Br
0.487 0.754 0.523 Br
0.513 0.246 0.477 Br
0.513 0.254 0.977 Br
0.523 0.013 0.254 Br
0.523 0.487 0.754 Br
0.746 0.023 0.487 Br
0.746 0.246 0.254 Br
0.746 0.254 0.754 Br
0.746 0.477 0.987 Br
0.754 0.523 0.487 Br
0.754 0.746 0.254 Br
0.754 0.754 0.754 Br
0.754 0.977 0.987 Br
0.977 0.513 0.254 Br
0.977 0.987 0.754 Br
0.987 0.746 0.477 Br
0.987 0.754 0.977 Br
```